This entry pairs a crystal structure of FeHg2O3F5 with its calculated PXRD pattern. Radiation: Cu Kα, 1.54184 Å. Structure: a DFT-relaxed cell (PBE+U, the Materials Project).
Neutral-atom scattering factors, no anomalous dispersion.

Cell and atoms:
```
data_FeHg2O3F5
_space_group_name_H-M_alt 'P 1'
_space_group_IT_number 1
_cell_length_a 3.981
_cell_length_b 6.936
_cell_length_c 6.936
_cell_angle_alpha 64.88
_cell_angle_beta 90.00
_cell_angle_gamma 90.00
loop_
_space_group_symop_operation_xyz
'x,y,z'
loop_
_atom_site_label
_atom_site_type_symbol
_atom_site_fract_x
_atom_site_fract_y
_atom_site_fract_z
Fe1 Fe 0.000 0.000 0.000
Hg1 Hg 0.500 0.001 0.502
Hg2 Hg 0.500 0.502 0.001
O1 O 0.000 0.560 0.560
O2 O 0.500 0.337 0.337
O3 O 0.500 0.666 0.666
F1 F 0.000 0.066 0.701
F2 F 0.000 0.303 0.939
F3 F 0.000 0.701 0.066
F4 F 0.000 0.939 0.303
F5 F 0.500 0.003 0.003
```

The 6 most intense peaks (2θ from 10° to 80°), low angle first:
| 2θ (°) | I_rel |
| --- | --- |
| 15.1 | 821 |
| 27.1 | 1000 |
| 28.4 | 875 |
| 33.0 | 367 |
| 36.4 | 469 |
| 45.6 | 763 |

This entry pairs a crystal structure of K3Fe5F15 with its calculated PXRD pattern. Radiation: Cu Kα, 1.54184 Å. Structure: a DFT-relaxed cell (PBE+U, the Materials Project).
Neutral-atom scattering factors, no anomalous dispersion.

Cell and atoms:
```
data_K3Fe5F15
_space_group_name_H-M_alt 'P 1'
_space_group_IT_number 1
_cell_length_a 12.898
_cell_length_b 12.898
_cell_length_c 4.056
_cell_angle_alpha 90.00
_cell_angle_beta 90.00
_cell_angle_gamma 90.00
loop_
_space_group_symop_operation_xyz
'x,y,z'
loop_
_atom_site_label
_atom_site_type_symbol
_atom_site_fract_x
_atom_site_fract_y
_atom_site_fract_z
K1 K 0.000 0.000 0.000
K2 K 0.175 0.325 0.000
K3 K 0.325 0.825 0.000
K4 K 0.500 0.500 0.000
K5 K 0.675 0.175 0.000
K6 K 0.825 0.675 0.000
Fe1 Fe 0.000 0.500 0.500
Fe2 Fe 0.077 0.787 0.500
Fe3 Fe 0.213 0.077 0.500
Fe4 Fe 0.287 0.577 0.500
Fe5 Fe 0.423 0.287 0.500
Fe6 Fe 0.500 0.000 0.500
Fe7 Fe 0.577 0.713 0.500
Fe8 Fe 0.713 0.423 0.500
Fe9 Fe 0.787 0.923 0.500
Fe10 Fe 0.923 0.213 0.500
F1 F 0.000 0.500 0.000
F2 F 0.007 0.348 0.500
F3 F 0.070 0.141 0.500
F4 F 0.076 0.791 0.000
F5 F 0.141 0.930 0.500
F6 F 0.152 0.493 0.500
F7 F 0.209 0.076 0.000
F8 F 0.223 0.723 0.500
F9 F 0.277 0.223 0.500
F10 F 0.291 0.576 0.000
F11 F 0.348 0.993 0.500
F12 F 0.359 0.430 0.500
F13 F 0.424 0.291 0.000
F14 F 0.430 0.641 0.500
F15 F 0.493 0.848 0.500
F16 F 0.500 0.000 0.000
F17 F 0.507 0.152 0.500
F18 F 0.570 0.359 0.500
F19 F 0.576 0.709 0.000
F20 F 0.641 0.570 0.500
F21 F 0.652 0.007 0.500
F22 F 0.709 0.424 0.000
F23 F 0.723 0.777 0.500
F24 F 0.777 0.277 0.500
F25 F 0.791 0.924 0.000
F26 F 0.848 0.507 0.500
F27 F 0.859 0.070 0.500
F28 F 0.924 0.209 0.000
F29 F 0.930 0.859 0.500
F30 F 0.993 0.652 0.500
```

The 6 most intense peaks (2θ from 10° to 80°), low angle first:
| 2θ (°) | I_rel |
| --- | --- |
| 21.9 | 635 |
| 24.9 | 582 |
| 28.5 | 739 |
| 31.1 | 1000 |
| 44.7 | 578 |
| 50.0 | 547 |